Structure and computed powder diffractogram of Pr3Tm2Cd2 (a structure optimized by DFT (GGA-PBE); CuKα).
Neutral-atom scattering factors, no anomalous dispersion.

Cell lengths 8.681, 8.681, 8.681 Å; angles 36.91, 36.91, 36.91 degrees
Positions (direct):
Pr 0.000 0.000 0.000
Pr 0.159 0.159 0.159
Pr 0.841 0.841 0.841
Tm 0.427 0.427 0.427
Tm 0.573 0.573 0.573
Cd 0.290 0.290 0.290
Cd 0.710 0.710 0.710

Peak list (10 most intense, 10° ≤ 2θ ≤ 90°, sorted by position)
2θ/deg, I/Imax
26.24, 8
31.96, 91
32.58, 100
46.29, 32
56.56, 18
57.75, 33
58.14, 19
68.25, 12
76.33, 12
77.37, 16